Record 1
Diffraction record for Pt2PbO4. The powder XRD pattern is computed, not measured: it uses the PBE geometry in Alexandria and copper Kα.
Neutral-atom scattering factors, no anomalous dispersion.

Largest 8 diffraction maxima, most intense first, 2θ = 10–90°:
d (Å)	two_theta	I (rel.)
2.903	30.80	100
2.686	33.35	91
2.703	33.15	91
1.690	54.29	90
2.944	30.36	87
3.104	28.76	82
3.014	29.64	78
3.379	26.37	74

Structural model:
Unit cell a=5.7714 b=6.2298 c=6.7813 alpha=116.00 beta=96.37 gamma=109.83
Element x y z (fractional)
Pt 0.0000 0.0000 0.0000
Pt 0.0000 0.0000 0.5000
Pt 0.0000 0.5000 0.0000
Pt 0.5000 0.5000 0.0000
Pb 0.3582 0.7477 0.6460
Pb 0.6418 0.2523 0.3540
O 0.0184 0.3630 0.2231
O 0.1314 0.8974 0.2246
O 0.3345 0.3312 0.6594
O 0.3692 0.1542 0.9943
O 0.6308 0.8458 0.0057
O 0.6655 0.6688 0.3406
O 0.8686 0.1026 0.7754
O 0.9816 0.6370 0.7769



Record 2
Diffraction record for Pt3PbO8. The powder XRD pattern is computed, not measured: it uses the PBE geometry in Alexandria and copper Kα.
Neutral-atom scattering factors, no anomalous dispersion.

Largest 8 diffraction maxima, most intense first, 2θ = 10–90°:
d (Å)	two_theta	I (rel.)
2.825	31.68	100
2.089	43.32	74
6.206	14.27	60
3.842	23.15	34
3.103	28.77	33
1.631	56.42	25
2.571	34.90	25
2.620	34.22	23

Structural model:
Unit cell a=5.6493 b=5.6493 c=6.2057 alpha=90.00 beta=90.00 gamma=120.00
Element x y z (fractional)
Pt 0.0000 0.0000 0.0000
Pt 0.3333 0.6667 0.0507
Pt 0.6667 0.3333 0.9493
Pb 0.0000 0.0000 0.5000
O 0.0634 0.3614 0.8585
O 0.2980 0.9366 0.8585
O 0.3333 0.6667 0.3606
O 0.3614 0.2980 0.1415
O 0.6386 0.7020 0.8585
O 0.6667 0.3333 0.6394
O 0.7020 0.0634 0.1415
O 0.9366 0.6386 0.1415



Record 3
Diffraction record for Pt4PbO8. The powder XRD pattern is computed, not measured: it uses the PBE geometry in Alexandria and copper Kα.
Neutral-atom scattering factors, no anomalous dispersion.

Largest 8 diffraction maxima, most intense first, 2θ = 10–90°:
d (Å)	two_theta	I (rel.)
2.791	32.07	100
5.344	16.59	53
2.672	33.54	48
1.781	51.29	42
1.636	56.21	40
1.395	67.07	24
2.314	38.92	23
1.205	79.54	23

Structural model:
Unit cell a=6.5453 b=6.5453 c=6.5453 alpha=60.00 beta=60.00 gamma=60.00
Element x y z (fractional)
Pt 0.1234 0.1234 0.1234
Pt 0.1234 0.1234 0.6297
Pt 0.1234 0.6297 0.1234
Pt 0.6297 0.1234 0.1234
Pb 0.5000 0.5000 0.5000
O 0.3001 0.9000 0.9000
O 0.3501 0.3501 0.3501
O 0.3501 0.3501 0.9496
O 0.3501 0.9496 0.3501
O 0.9000 0.3001 0.9000
O 0.9000 0.9000 0.3001
O 0.9000 0.9000 0.9000
O 0.9496 0.3501 0.3501



Record 4
Diffraction record for PuPtPb2O8. The powder XRD pattern is computed, not measured: it uses the PBE geometry in Alexandria and copper Kα.
Neutral-atom scattering factors, no anomalous dispersion.

Largest 8 diffraction maxima, most intense first, 2θ = 10–90°:
d (Å)	two_theta	I (rel.)
2.778	32.22	100
3.688	24.13	63
3.610	24.66	57
1.901	47.84	43
1.880	48.43	39
2.585	34.70	18
2.575	34.84	18
1.527	60.63	12

Structural model:
Unit cell a=5.1512 b=6.5938 c=5.1710 alpha=90.00 beta=91.23 gamma=90.00
Element x y z (fractional)
Pu 0.0000 0.0000 0.0000
Pt 0.0000 0.5000 0.0000
Pb 0.5000 0.2584 0.5000
Pb 0.5000 0.7416 0.5000
O 0.1774 0.2534 0.8260
O 0.1774 0.7466 0.8260
O 0.2841 0.5000 0.2871
O 0.3023 0.0000 0.3060
O 0.6977 0.0000 0.6940
O 0.7159 0.5000 0.7129
O 0.8226 0.2534 0.1740
O 0.8226 0.7466 0.1740